Entry 1:
Pm11Mg9Co4: calculated X-ray powder pattern (Cu Kα), based on the GGA-PBE geometry in Alexandria.

Top 10 peaks for 2θ from 10° to 90°, sorted by position:
(3 1 0), 4.784 Å, 2θ 18.55, I = 35
(0 0 1), 3.761 Å, 2θ 23.66, I = 57
(0 6 0), 3.708 Å, 2θ 24.00, I = 39
(4 0 0), 3.674 Å, 2θ 24.23, I = 38
(0 6 1), 2.640 Å, 2θ 33.95, I = 100
(4 0 1), 2.628 Å, 2θ 34.12, I = 100
(4 6 0), 2.610 Å, 2θ 34.36, I = 65
(3 5 1), 2.478 Å, 2θ 36.26, I = 47
(4 4 1), 2.376 Å, 2θ 37.87, I = 34
(0 0 2), 1.880 Å, 2θ 48.41, I = 29

Cell lengths 14.695, 22.248, 3.761 Å; angles 90.00, 90.00, 90.00 degrees
Space group Cmmm (No. 65)
Inequivalent atoms, fractional coordinates:
Pm (0.000, 0.000, 0.000) x2
Pm (0.000, 0.157, 0.000) x4
Pm (0.000, 0.374, 0.000) x4
Pm (0.188, 0.500, 0.000) x4
Pm (0.247, 0.335, 0.000) x8
Mg (0.000, 0.500, 0.500) x2
Mg (0.105, 0.261, 0.500) x8
Mg (0.148, 0.071, 0.500) x8
Co (0.147, 0.399, 0.500) x8



Entry 2:
LiY2Ga3Cu12: calculated X-ray powder pattern (Cu Kα), based on the GGA-PBE geometry in Alexandria.

Top 10 peaks for 2θ from 10° to 90°, sorted by position:
(1 0 10), 2.728 Å, 2θ 32.83, I = 66
(1 1 3), 2.647 Å, 2θ 33.87, I = 26
(0 2 1), 2.354 Å, 2θ 38.24, I = 19
(0 2 4), 2.271 Å, 2θ 39.69, I = 74
(0 2 7), 2.116 Å, 2θ 42.74, I = 19
(2 0 8), 2.055 Å, 2θ 44.07, I = 100
(0 2 10), 1.928 Å, 2θ 47.14, I = 45
(0 0 18), 1.858 Å, 2θ 49.04, I = 21
(1 1 18), 1.535 Å, 2θ 60.30, I = 21
(2 2 0), 1.362 Å, 2θ 68.92, I = 38

Cell lengths 5.4496, 5.4496, 33.4364 Å; angles 90.00, 90.00, 120.00 degrees
Space group R-3m (No. 166, hexagonal axes)
Inequivalent atoms, fractional coordinates:
Li (0.0000, 0.0000, 0.0000) x3
Y (0.0000, 0.0000, 0.3577) x6
Ga (0.0000, 0.5000, 0.5000) x9
Cu (0.0037, 0.5019, 0.6105) x18
Cu (0.0292, 0.5146, 0.1106) x18



Entry 3:
Nd6Al5Fe9: calculated X-ray powder pattern (Cu Kα), based on the GGA-PBE geometry in Alexandria.

Top 10 peaks for 2θ from 10° to 90°, sorted by position:
(2 1 3), 3.303 Å, 2θ 27.00, I = 90
(2 2 0), 2.878 Å, 2θ 31.08, I = 100
(3 1 0), 2.578 Å, 2θ 34.80, I = 73
(2 1 7), 2.463 Å, 2θ 36.47, I = 45
(2 0 8), 2.376 Å, 2θ 37.87, I = 60
(3 1 4), 2.359 Å, 2θ 38.15, I = 35
(4 1 1), 1.970 Å, 2θ 46.07, I = 42
(4 2 0), 1.824 Å, 2θ 50.02, I = 33
(4 1 5), 1.821 Å, 2θ 50.09, I = 35
(3 3 8), 1.606 Å, 2θ 57.38, I = 35

Cell lengths 8.152, 8.152, 23.391 Å; angles 90.00, 90.00, 90.00 degrees
Space group I4/mcm (No. 140)
Inequivalent atoms, fractional coordinates:
Nd (0.000, 0.000, 0.106) x8
Nd (0.168, 0.332, 0.190) x16
Al (0.000, 0.000, 0.250) x4
Al (0.119, 0.381, 0.406) x16
Fe (0.000, 0.500, 0.000) x4
Fe (0.069, 0.211, 0.500) x16
Fe (0.176, 0.324, 0.057) x16



Copy entry 2 word for word.
LiY2Ga3Cu12: calculated X-ray powder pattern (Cu Kα), based on the GGA-PBE geometry in Alexandria.

Top 10 peaks for 2θ from 10° to 90°, sorted by position:
(1 0 10), 2.728 Å, 2θ 32.83, I = 66
(1 1 3), 2.647 Å, 2θ 33.87, I = 26
(0 2 1), 2.354 Å, 2θ 38.24, I = 19
(0 2 4), 2.271 Å, 2θ 39.69, I = 74
(0 2 7), 2.116 Å, 2θ 42.74, I = 19
(2 0 8), 2.055 Å, 2θ 44.07, I = 100
(0 2 10), 1.928 Å, 2θ 47.14, I = 45
(0 0 18), 1.858 Å, 2θ 49.04, I = 21
(1 1 18), 1.535 Å, 2θ 60.30, I = 21
(2 2 0), 1.362 Å, 2θ 68.92, I = 38

Cell lengths 5.4496, 5.4496, 33.4364 Å; angles 90.00, 90.00, 120.00 degrees
Space group R-3m (No. 166, hexagonal axes)
Inequivalent atoms, fractional coordinates:
Li (0.0000, 0.0000, 0.0000) x3
Y (0.0000, 0.0000, 0.3577) x6
Ga (0.0000, 0.5000, 0.5000) x9
Cu (0.0037, 0.5019, 0.6105) x18
Cu (0.0292, 0.5146, 0.1106) x18